# 1
# CeAlPd2
Theoretical powder XRD pattern, a wavelength of 1.5418 Å. Input: the GGA-PBE geometry in the Materials Project.
Kinematic intensities with the Lorentz-polarization factor, no thermal factor.

Atomic structure:
abc: 7.5718 7.0292 5.9379
angles: 90.00 90.00 90.00
Space group Pnma (No. 62)
One atom of each set of equivalent atoms:
Ce (0.0326, 0.2500, 0.1589) [4 per cell]
Al (0.1172, 0.7500, 0.3426) [4 per cell]
Pd (0.1794, 0.0500, 0.5855) [8 per cell]

Peak list (6 most intense, 2θ from 10° to 80°, sorted by position)
- 30.76 deg, I 39, hkl 2 1 1
- 31.86 deg, I 36, hkl 1 2 1
- 32.39 deg, I 35, hkl 1 0 2
- 34.85 deg, I 100, hkl 2 2 0
- 38.08 deg, I 26, hkl 2 2 1
- 38.77 deg, I 41, hkl 3 0 1


# 2
# Mg6ZnSb
Theoretical powder XRD pattern, a wavelength of 1.5418 Å. Input: the GGA-PBE geometry in the Materials Project.
Kinematic intensities with the Lorentz-polarization factor, no thermal factor.

Atomic structure:
abc: 5.2950 6.1496 10.8669
angles: 90.00 90.00 90.00
Space group Amm2 (No. 38)
One atom of each set of equivalent atoms:
Mg (0.0000, 0.0000, 0.0000) [2 per cell]
Mg (0.0000, 0.2456, 0.7452) [4 per cell]
Mg (0.5000, 0.0000, 0.1665) [2 per cell]
Mg (0.5000, 0.2503, 0.4184) [4 per cell]
Zn (0.5000, 0.0000, 0.6832) [2 per cell]
Sb (0.0000, 0.0000, 0.4956) [2 per cell]

Peak list (6 most intense, 2θ from 10° to 80°, sorted by position)
- 16.56 deg, I 55, hkl 0 1 1
- 23.46 deg, I 31, hkl 1 0 2
- 23.64 deg, I 28, hkl 1 1 1
- 33.86 deg, I 41, hkl 2 0 0
- 37.20 deg, I 38, hkl 1 0 4
- 37.66 deg, I 100, hkl 1 2 2


# 3
# CaAl2Si4O15
Theoretical powder XRD pattern, a wavelength of 1.5418 Å. Input: the GGA-PBE geometry in the Materials Project.
Kinematic intensities with the Lorentz-polarization factor, no thermal factor.

Atomic structure:
abc: 7.6261 10.0496 10.0872
angles: 83.38 74.91 74.81
Space group P-1 (No. 2)
One atom of each set of equivalent atoms:
Ca (0.2341, 0.2605, 0.2595) [2 per cell]
Al (0.2361, 0.1777, 0.5681) [2 per cell]
Al (0.2359, 0.5693, 0.1776) [2 per cell]
Si (0.1743, 0.6989, 0.4651) [2 per cell]
Si (0.1751, 0.4644, 0.7000) [2 per cell]
Si (0.3489, 0.6216, 0.8558) [2 per cell]
Si (0.3495, 0.8541, 0.6215) [2 per cell]
O (0.0525, 0.2329, 0.4778) [2 per cell]
O (0.0518, 0.4790, 0.2326) [2 per cell]
O (0.1173, 0.0586, 0.0930) [2 per cell]
O (0.1448, 0.0135, 0.2127) [2 per cell]
O (0.1457, 0.1808, 0.0510) [2 per cell]
O (0.2228, 0.6762, 0.3040) [2 per cell]
O (0.2267, 0.3023, 0.6758) [2 per cell]
O (0.2285, 0.5536, 0.5548) [2 per cell]
O (0.2500, 0.0146, 0.6487) [2 per cell]
O (0.2520, 0.6502, 0.0149) [2 per cell]
O (0.2824, 0.7639, 0.7639) [2 per cell]
O (0.2896, 0.4938, 0.8062) [2 per cell]
O (0.2902, 0.8043, 0.4943) [2 per cell]
O (0.4209, 0.1731, 0.4138) [2 per cell]
O (0.4209, 0.4141, 0.1735) [2 per cell]

Peak list (6 most intense, 2θ from 10° to 80°, sorted by position)
- 12.57 deg, I 80, hkl 0 1 1
- 20.87 deg, I 80, hkl 0 2 -1
- 23.95 deg, I 88, hkl 1 2 2
- 24.93 deg, I 100, hkl 2 0 0
- 25.47 deg, I 36, hkl 1 1 -2
- 28.62 deg, I 38, hkl 2 0 -1


# 4
# Lu2MgSe4
Theoretical powder XRD pattern, a wavelength of 1.5418 Å. Input: the GGA-PBE geometry in the Materials Project.
Kinematic intensities with the Lorentz-polarization factor, no thermal factor.

Atomic structure:
abc: 13.9265 8.1020 6.7597
angles: 90.00 90.00 90.00
Space group Pnma (No. 62)
One atom of each set of equivalent atoms:
Lu (0.0000, 0.0000, 0.0000) [4 per cell]
Lu (0.2342, 0.2500, 0.4971) [4 per cell]
Mg (0.0927, 0.7500, 0.5789) [4 per cell]
Se (0.0746, 0.2500, 0.2483) [4 per cell]
Se (0.0918, 0.7500, 0.2056) [4 per cell]
Se (0.1694, 0.5023, 0.7614) [8 per cell]

Peak list (6 most intense, 2θ from 10° to 80°, sorted by position)
- 14.57 deg, I 51, hkl 1 0 1
- 18.24 deg, I 70, hkl 1 1 1
- 28.71 deg, I 54, hkl 2 2 1
- 36.97 deg, I 100, hkl 2 2 2
- 37.07 deg, I 43, hkl 4 0 2
- 45.01 deg, I 49, hkl 6 2 0


# 5
# CaSn2O4
Theoretical powder XRD pattern, a wavelength of 1.5418 Å. Input: the GGA-PBE geometry in the Materials Project.
Kinematic intensities with the Lorentz-polarization factor, no thermal factor.

Atomic structure:
abc: 6.6418 6.7552 10.0606
angles: 90.00 90.00 90.00
Space group Imma (No. 74)
One atom of each set of equivalent atoms:
Ca (0.0000, 0.2500, 0.1091) [4 per cell]
Sn (0.0000, 0.0000, 0.5000) [4 per cell]
Sn (0.2500, 0.2500, 0.7500) [4 per cell]
O (0.0000, 0.0371, 0.7488) [8 per cell]
O (0.2433, 0.2500, 0.9555) [8 per cell]

Peak list (6 most intense, 2θ from 10° to 80°, sorted by position)
- 15.80 deg, I 100, hkl 0 1 1
- 15.99 deg, I 56, hkl 1 0 1
- 31.01 deg, I 78, hkl 1 2 1
- 31.30 deg, I 70, hkl 2 1 1
- 38.00 deg, I 65, hkl 2 2 0
- 53.12 deg, I 73, hkl 2 2 4


# 6
# HfScTc2
Theoretical powder XRD pattern, a wavelength of 1.5418 Å. Input: the GGA-PBE geometry in the Materials Project.
Kinematic intensities with the Lorentz-polarization factor, no thermal factor.

Atomic structure:
abc: 6.5102 6.5102 6.5102
angles: 90.00 90.00 90.00
Space group Fm-3m (No. 225)
One atom of each set of equivalent atoms:
Hf (0.0000, 0.0000, 0.0000) [4 per cell]
Sc (0.0000, 0.0000, 0.5000) [4 per cell]
Tc (0.2500, 0.2500, 0.2500) [8 per cell]

Peak list (6 most intense, 2θ from 10° to 80°, sorted by position)
- 23.67 deg, I 23, hkl 1 1 1
- 39.14 deg, I 100, hkl 2 2 0
- 46.25 deg, I 12, hkl 3 1 1
- 56.55 deg, I 17, hkl 4 0 0
- 62.15 deg, I 5, hkl 3 3 1
- 70.92 deg, I 34, hkl 4 2 2


# 7
# LuGaAg
Theoretical powder XRD pattern, a wavelength of 1.5418 Å. Input: the GGA-PBE geometry in the Materials Project.
Kinematic intensities with the Lorentz-polarization factor, no thermal factor.

Atomic structure:
abc: 10.4340 4.5298 7.0091
angles: 90.00 131.86 90.00
Space group C2/m (No. 12)
One atom of each set of equivalent atoms:
Lu (0.0373, 0.0000, 0.2906) [4 per cell]
Ga (0.1598, 0.5000, 0.1172) [4 per cell]
Ag (0.1730, 0.5000, 0.7214) [4 per cell]

Peak list (6 most intense, 2θ from 10° to 80°, sorted by position)
- 32.89 deg, I 35, hkl 1 1 1
- 34.32 deg, I 100, hkl 0 0 2
- 34.40 deg, I 94, hkl 3 1 -2
- 34.57 deg, I 30, hkl 4 0 -2
- 39.80 deg, I 55, hkl 0 2 0
- 40.10 deg, I 83, hkl 3 1 0